This entry pairs a crystal structure of Ce5Sm2O13 with its computed powder diffraction line list. Radiation: λ = 1.5418 Å (Cu Kα). Structure: a crystal structure in the Materials Project, relaxed with GGA-PBE.
Kinematic intensities with the Lorentz-polarization factor, no thermal factor.

Crystal structure
Lattice parameters (Å, degrees): 22.5002 22.5002 22.5002 9.83 9.83 9.83
Fractional positions:
Ce 0.0000 0.0000 0.0000
Ce 0.1423 0.1423 0.1423
Ce 0.2863 0.2863 0.2863
Ce 0.4284 0.4284 0.4284
Ce 0.7142 0.7142 0.7142
Sm 0.5721 0.5721 0.5721
Sm 0.8542 0.8542 0.8542
O 0.0347 0.0347 0.0347
O 0.1060 0.1060 0.1060
O 0.1768 0.1768 0.1768
O 0.2454 0.2454 0.2454
O 0.3205 0.3205 0.3205
O 0.3918 0.3918 0.3918
O 0.4629 0.4629 0.4629
O 0.5395 0.5395 0.5395
O 0.6076 0.6076 0.6076
O 0.6776 0.6776 0.6776
O 0.7489 0.7489 0.7489
O 0.8196 0.8196 0.8196
O 0.9638 0.9638 0.9638

Most intense lines, 10° ≤ 2θ ≤ 90°, by angle:
27.89 deg, I 34
28.31 deg, I 100
32.69 deg, I 41
46.63 deg, I 35
47.17 deg, I 35
55.21 deg, I 14
55.69 deg, I 29
55.93 deg, I 15
58.57 deg, I 9
68.49 deg, I 10
76.11 deg, I 12
87.34 deg, I 11